V2BO2: theoretical powder diffraction line list (copper Kα), based on a DFT-relaxed cell (GGA+U, Alexandria).
Intensities are scaled so that the largest is 100.

Structural model:
```
V2BO2
1.0
-1.631 1.631 5.156
1.631 -1.631 5.156
1.631 1.631 -5.156
V B O
2 1 2
Direct
0.139 0.139 0.000
0.861 0.861 0.000
0.500 0.500 0.000
0.250 0.750 0.500
0.750 0.250 0.500
```

Top 12 peaks for 2θ = 15–90°, by intensity:
2θ (°), I_rel
38.03, 100
28.71, 78
53.30, 53
17.20, 42
70.09, 40
56.43, 29
39.06, 29
68.03, 18
64.53, 13
34.80, 10
83.92, 8
52.50, 7

VB4O7: theoretical powder diffraction line list (copper Kα), based on a DFT-relaxed cell (GGA+U, Alexandria).
Intensities are scaled so that the largest is 100.

Structural model:
```
VB4O7
1.0
5.527 -3.271 0.000
5.527 3.271 0.000
0.000 0.000 5.313
V B O
2 8 14
Direct
0.245 0.755 0.750
0.755 0.245 0.250
0.188 0.576 0.250
0.206 0.206 0.000
0.206 0.206 0.500
0.424 0.812 0.250
0.576 0.188 0.750
0.794 0.794 0.000
0.794 0.794 0.500
0.812 0.424 0.750
0.049 0.687 0.027
0.049 0.687 0.473
0.255 0.308 0.250
0.308 0.255 0.750
0.313 0.951 0.027
0.313 0.951 0.473
0.414 0.586 0.250
0.586 0.414 0.750
0.687 0.049 0.527
0.687 0.049 0.973
0.692 0.745 0.250
0.745 0.692 0.750
0.951 0.313 0.527
0.951 0.313 0.973
```

Top 12 peaks for 2θ = 15–90°, by intensity:
2θ (°), I_rel
32.59, 100
31.79, 96
47.47, 63
45.72, 35
37.43, 35
47.03, 32
37.56, 27
46.61, 26
27.27, 26
23.02, 25
51.66, 25
62.31, 23

VBO3: theoretical powder diffraction line list (copper Kα), based on a DFT-relaxed cell (GGA+U, Alexandria).
Intensities are scaled so that the largest is 100.

Structural model:
```
VBO3
1.0
2.343 1.353 4.947
-2.343 1.353 4.947
0.000 -2.706 4.947
V B O
2 2 6
Direct
0.000 0.000 0.000
0.500 0.500 0.500
0.250 0.250 0.250
0.750 0.750 0.750
0.046 0.750 0.454
0.250 0.546 0.954
0.454 0.046 0.750
0.546 0.954 0.250
0.750 0.454 0.046
0.954 0.250 0.546
```

Top 12 peaks for 2θ = 15–90°, by intensity:
2θ (°), I_rel
32.70, 100
25.01, 54
53.90, 40
42.69, 32
46.38, 23
54.38, 19
38.41, 18
69.47, 18
61.75, 15
65.88, 14
51.31, 13
81.40, 7

VB6O6: theoretical powder diffraction line list (copper Kα), based on a DFT-relaxed cell (GGA+U, Alexandria).
Intensities are scaled so that the largest is 100.

Structural model:
```
VB6O6
1.0
3.519 -3.795 0.000
3.519 3.795 0.000
-1.163 0.000 6.515
V B O
1 6 6
Direct
0.000 0.000 0.000
0.146 0.477 0.064
0.440 0.440 0.376
0.477 0.146 0.064
0.523 0.854 0.936
0.560 0.560 0.624
0.854 0.523 0.936
0.230 0.546 0.275
0.286 0.286 0.956
0.454 0.770 0.725
0.546 0.230 0.275
0.714 0.714 0.044
0.770 0.454 0.725
```

Top 12 peaks for 2θ = 15–90°, by intensity:
2θ (°), I_rel
20.63, 100
40.85, 61
26.94, 36
41.21, 30
36.35, 29
34.51, 29
27.20, 27
23.45, 26
37.86, 24
41.59, 17
57.64, 13
30.56, 12

V5BO9: theoretical powder diffraction line list (copper Kα), based on a DFT-relaxed cell (GGA+U, Alexandria).
Intensities are scaled so that the largest is 100.

Structural model:
```
V5BO9
1.0
3.076 -7.996 0.000
3.076 7.996 0.000
0.000 0.000 8.374
V B O
10 2 18
Direct
0.058 0.942 0.500
0.140 0.364 0.302
0.199 0.801 0.136
0.246 0.754 0.484
0.364 0.140 0.802
0.636 0.860 0.302
0.754 0.246 0.984
0.801 0.199 0.636
0.860 0.636 0.802
0.942 0.058 0.000
0.486 0.514 0.032
0.514 0.486 0.532
0.045 0.955 0.876
0.051 0.428 0.499
0.147 0.853 0.346
0.163 0.837 0.663
0.258 0.349 0.094
0.308 0.692 0.248
0.349 0.258 0.594
0.428 0.051 0.999
0.457 0.543 0.411
0.543 0.457 0.911
0.572 0.949 0.499
0.651 0.742 0.094
0.692 0.308 0.748
0.742 0.651 0.594
0.837 0.163 0.163
0.853 0.147 0.846
0.949 0.572 0.999
0.955 0.045 0.376
```

Top 12 peaks for 2θ = 15–90°, by intensity:
2θ (°), I_rel
15.32, 100
18.74, 61
24.68, 42
30.93, 42
32.98, 36
15.43, 27
56.33, 24
36.87, 21
45.59, 18
50.27, 15
36.24, 14
35.77, 14

BW2O: theoretical powder diffraction line list (copper Kα), based on a DFT-relaxed cell (GGA+U, Alexandria).
Intensities are scaled so that the largest is 100.

Structural model:
```
BW2O
1.0
-2.395 2.395 5.268
2.395 -2.395 5.268
2.395 2.395 -5.268
B W O
2 4 2
Direct
0.000 0.000 0.000
0.750 0.250 0.500
0.137 0.625 0.012
0.375 0.387 0.512
0.613 0.125 0.988
0.875 0.863 0.488
0.250 0.750 0.500
0.500 0.500 0.000
```

Top 12 peaks for 2θ = 15–90°, by intensity:
2θ (°), I_rel
31.40, 100
51.57, 28
37.55, 27
63.95, 26
34.03, 18
59.27, 17
84.46, 12
54.15, 12
65.52, 11
83.82, 6
88.58, 6
80.14, 4